# La3ErAl8
Calculated PXRD pattern, copper Kα. Input: a crystal structure in Alexandria, relaxed with GGA-PBE.
Neutral-atom scattering factors, no anomalous dispersion.

Crystal structure
```
data_La3ErAl8
_cell_length_a 5.6926
_cell_length_b 5.6926
_cell_length_c 27.9893
_cell_angle_alpha 90.00
_cell_angle_beta 90.00
_cell_angle_gamma 120.00
_space_group_name_H-M_alt 'R 3 m'
_space_group_IT_number 160
_space_group_name_Hall 'R 3 -2"'
loop_
_atom_site_label
_atom_site_fract_x
_atom_site_fract_y
_atom_site_fract_z
La1 0.0000 0.0000 0.0000
La2 0.0000 0.0000 0.1251
La3 0.0000 0.0000 0.6260
Er1 0.0000 0.0000 0.5006
Al1 0.0000 0.0000 0.3124
Al2 0.0000 0.0000 0.8133
Al3 0.0013 0.5007 0.0646
Al4 0.1672 0.3345 0.8946
```

Most intense lines, 15 to 90 degrees two-theta, by angle:
2θ = 19.07°, I 59, (0 0 6)
2θ = 31.39°, I 100, (1 1 0)
2θ = 36.98°, I 77, (1 1 6)
2θ = 37.03°, I 26, (2 0 2)
2θ = 55.92°, I 29, (3 0 0)
2θ = 59.63°, I 25, (3 0 6)
2θ = 65.42°, I 11, (0 2 16)
2θ = 65.60°, I 11, (2 2 0)

---

# PmH7Ir2
Calculated PXRD pattern, copper Kα. Input: a crystal structure in Alexandria, relaxed with GGA-PBE.
Neutral-atom scattering factors, no anomalous dispersion.

Crystal structure
```
data_PmH7Ir2
_cell_length_a 5.3928
_cell_length_b 8.8804
_cell_length_c 3.6702
_cell_angle_alpha 90.00
_cell_angle_beta 90.00
_cell_angle_gamma 90.00
_space_group_name_H-M_alt 'C m m m'
_space_group_IT_number 65
_space_group_name_Hall '-C 2 2'
loop_
_atom_site_label
_atom_site_fract_x
_atom_site_fract_y
_atom_site_fract_z
Pm1 0.0000 0.0000 0.0000
H1 0.0000 0.3088 0.0000
H2 0.0000 0.5000 0.5000
H3 0.1868 0.1393 0.5000
Ir1 0.0000 0.3081 0.5000
```

Most intense lines, 15 to 90 degrees two-theta, by angle:
2θ = 24.25°, I 29, (0 0 1)
2θ = 31.15°, I 89, (1 1 1)
2θ = 31.63°, I 99, (0 2 1)
2θ = 33.23°, I 66, (2 0 0)
2θ = 34.57°, I 100, (1 3 0)
2θ = 46.53°, I 68, (2 2 1)
2θ = 60.39°, I 46, (1 5 1)
2θ = 61.93°, I 38, (1 3 2)

---

# Sc3Al2C4
Calculated PXRD pattern, copper Kα. Input: a crystal structure in Alexandria, relaxed with GGA-PBE.
Neutral-atom scattering factors, no anomalous dispersion.

Crystal structure
```
data_Sc3Al2C4
_cell_length_a 5.4981
_cell_length_b 12.6692
_cell_length_c 3.2865
_cell_angle_alpha 90.00
_cell_angle_beta 90.00
_cell_angle_gamma 90.00
_space_group_name_H-M_alt 'P n n m'
_space_group_IT_number 58
loop_
_space_group_symop_operation_xyz
'x,y,z'
'-x,-y,-z'
'-x,-y,z'
'x,y,-z'
'x+1/2,-y+1/2,-z+1/2'
'-x+1/2,y+1/2,z+1/2'
'-x+1/2,y+1/2,-z+1/2'
'x+1/2,-y+1/2,z+1/2'
loop_
_atom_site_label
_atom_site_fract_x
_atom_site_fract_y
_atom_site_fract_z
Sc1 0.0000 0.0000 0.0000
Sc2 0.2112 0.2966 0.5000
Al1 0.1262 0.5868 0.0000
C1 0.2291 0.6702 0.5000
C2 0.2445 0.4333 0.0000
```

Most intense lines, 15 to 90 degrees two-theta, by angle:
2θ = 26.62°, I 50, (1 3 0)
2θ = 32.53°, I 92, (2 0 0)
2θ = 32.63°, I 31, (1 4 0)
2θ = 34.81°, I 71, (1 2 1)
2θ = 35.60°, I 57, (2 2 0)
2θ = 39.11°, I 36, (2 3 0)
2θ = 45.19°, I 100, (0 5 1)
2θ = 48.24°, I 67, (2 3 1)

---

# Sc2In2H
Calculated PXRD pattern, copper Kα. Input: a crystal structure in Alexandria, relaxed with GGA-PBE.
Neutral-atom scattering factors, no anomalous dispersion.

Crystal structure
```
data_Sc2In2H
_cell_length_a 3.4444
_cell_length_b 11.7063
_cell_length_c 9.6722
_cell_angle_alpha 90.00
_cell_angle_beta 90.00
_cell_angle_gamma 90.00
_space_group_name_H-M_alt 'C m c 21'
_space_group_IT_number 36
loop_
_space_group_symop_operation_xyz
'x,y,z'
'-x,-y,z+1/2'
'-x,y,z'
'x,-y,z+1/2'
'x+1/2,y+1/2,z'
'-x+1/2,-y+1/2,z+1/2'
'-x+1/2,y+1/2,z'
'x+1/2,-y+1/2,z+1/2'
loop_
_atom_site_label
_atom_site_fract_x
_atom_site_fract_y
_atom_site_fract_z
Sc1 0.0000 0.0379 0.0000
Sc2 0.0000 0.3602 0.7602
In1 0.0000 0.2357 0.4918
In2 0.0000 0.3836 0.2212
H1 0.0000 0.0886 0.1916
```

Most intense lines, 15 to 90 degrees two-theta, by angle:
2θ = 17.71°, I 34, (0 2 1)
2θ = 28.55°, I 46, (1 1 1)
2θ = 32.83°, I 84, (1 1 2)
2θ = 35.87°, I 100, (0 4 2)
2θ = 36.00°, I 73, (1 3 1)
2θ = 37.18°, I 51, (0 0 4)
2θ = 39.03°, I 45, (1 1 3)
2θ = 65.82°, I 31, (2 4 2)